# Hg
Computed X-ray diffraction stick pattern, Cu Kα. Input: a GGA-PBE-relaxed structure.
No peak broadening, texture or thermal motion is included.

```
data_Hg
_space_group_name_H-M_alt 'C 1 2/m 1'
_space_group_IT_number 12
_space_group_name_Hall '-C 2y'
_cell_length_a 6.1415
_cell_length_b 3.6327
_cell_length_c 8.8099
_cell_angle_alpha 90.00
_cell_angle_beta 106.55
_cell_angle_gamma 90.00
loop_
_atom_site_label
_atom_site_type_symbol
_atom_site_fract_x
_atom_site_fract_y
_atom_site_fract_z
_atom_site_occupancy
Hg1 Hg 0.0000 0.0000 0.0000 1
Hg2 Hg 0.2352 0.0000 0.6637 1
```

Most intense lines, 2θ = 10–80°, sorted by position:
hkl 1 1 0, 28.9°, rel. 26
hkl 2 0 -1, 29.2°, rel. 37
hkl 0 0 3, 31.8°, rel. 100
hkl 1 1 1, 32.3°, rel. 93
hkl 1 1 -2, 33.3°, rel. 91
hkl 2 0 1, 35.0°, rel. 30
hkl 3 1 -1, 51.3°, rel. 33
hkl 1 1 -5, 58.2°, rel. 20
hkl 3 1 -4, 60.1°, rel. 20
hkl 0 2 3, 60.7°, rel. 33


# MgSb2O4
Computed X-ray diffraction stick pattern, Cu Kα. Input: a GGA-PBE-relaxed structure.
No peak broadening, texture or thermal motion is included.

```
data_MgSb2O4
_space_group_name_H-M_alt 'R 3 m'
_space_group_IT_number 160
_space_group_name_Hall 'R 3 -2"'
_cell_length_a 6.7189
_cell_length_b 6.7189
_cell_length_c 15.8177
_cell_angle_alpha 90.00
_cell_angle_beta 90.00
_cell_angle_gamma 120.00
loop_
_atom_site_label
_atom_site_type_symbol
_atom_site_fract_x
_atom_site_fract_y
_atom_site_fract_z
_atom_site_occupancy
Mg1 Mg 0.0000 0.0000 0.0000 1
Mg2 Mg 0.0000 0.0000 0.3765 1
Sb1 Sb 0.0000 0.0000 0.7795 1
Sb2 Sb 0.1694 0.3387 0.2160 1
O1 O 0.0000 0.0000 0.1388 1
O2 O 0.0000 0.0000 0.6542 1
O3 O 0.0385 0.5192 0.1153 1
O4 O 0.1774 0.3547 0.9569 1
```

Most intense lines, 2θ = 10–80°, sorted by position:
hkl 0 0 3, 16.8°, rel. 55
hkl 1 0 4, 27.3°, rel. 35
hkl 0 2 1, 31.3°, rel. 100
hkl 1 1 3, 31.6°, rel. 48
hkl 0 1 5, 32.2°, rel. 33
hkl 2 0 2, 32.8°, rel. 39
hkl 0 2 4, 38.4°, rel. 40
hkl 1 2 5, 50.5°, rel. 22
hkl 2 2 0, 54.6°, rel. 39
hkl 2 0 8, 56.3°, rel. 26


# ZnAs3
Computed X-ray diffraction stick pattern, Cu Kα. Input: a GGA-PBE-relaxed structure.
No peak broadening, texture or thermal motion is included.

```
data_ZnAs3
_space_group_name_H-M_alt 'F m -3 m'
_space_group_IT_number 225
_space_group_name_Hall '-F 4 2 3'
_cell_length_a 6.6896
_cell_length_b 6.6896
_cell_length_c 6.6896
_cell_angle_alpha 90.00
_cell_angle_beta 90.00
_cell_angle_gamma 90.00
loop_
_atom_site_label
_atom_site_type_symbol
_atom_site_fract_x
_atom_site_fract_y
_atom_site_fract_z
_atom_site_occupancy
Zn1 Zn 0.0000 0.0000 0.0000 1
As1 As 0.0000 0.0000 0.5000 1
As2 As 0.2500 0.2500 0.2500 1
```

Most intense lines, 2θ = 10–80°, sorted by position:
hkl 2 2 0, 38.0°, rel. 100
hkl 4 0 0, 54.9°, rel. 17
hkl 4 2 2, 68.7°, rel. 34


# EuSi3Ni
Computed X-ray diffraction stick pattern, Cu Kα. Input: a GGA-PBE-relaxed structure.
No peak broadening, texture or thermal motion is included.

```
data_EuSi3Ni
_space_group_name_H-M_alt 'I 4 m m'
_space_group_IT_number 107
_space_group_name_Hall 'I 4 -2'
_cell_length_a 4.1351
_cell_length_b 4.1351
_cell_length_c 9.6697
_cell_angle_alpha 90.00
_cell_angle_beta 90.00
_cell_angle_gamma 90.00
loop_
_atom_site_label
_atom_site_type_symbol
_atom_site_fract_x
_atom_site_fract_y
_atom_site_fract_z
_atom_site_occupancy
Eu1 Eu 0.0000 0.0000 0.0000 1
Si1 Si 0.0000 0.0000 0.4094 1
Si2 Si 0.0000 0.5000 0.2537 1
Ni1 Ni 0.0000 0.0000 0.6477 1
```

Most intense lines, 2θ = 10–80°, sorted by position:
hkl 0 0 2, 18.3°, rel. 21
hkl 1 0 1, 23.4°, rel. 53
hkl 1 1 0, 30.6°, rel. 55
hkl 1 0 3, 35.3°, rel. 100
hkl 1 1 2, 35.9°, rel. 86
hkl 2 0 0, 43.8°, rel. 52
hkl 1 0 5, 52.2°, rel. 27
hkl 2 1 3, 57.5°, rel. 48
hkl 2 1 5, 70.5°, rel. 22
hkl 3 1 2, 75.3°, rel. 20